Calculated X-ray powder pattern of Ac2CeS3F3 for Cu Ka, from a PBE-relaxed structure.

Peak list (8 most intense, 2θ = 10–90°, sorted by position)
23.57 deg, rel. 100
25.98 deg, rel. 58
32.50 deg, rel. 32
35.36 deg, rel. 50
41.43 deg, rel. 35
42.93 deg, rel. 46
51.41 deg, rel. 26
62.82 deg, rel. 21

Atomic structure:
```
data_Ac2CeS3F3
_cell_length_a 7.5494
_cell_length_b 7.5494
_cell_length_c 4.0292
_cell_angle_alpha 90.00
_cell_angle_beta 90.00
_cell_angle_gamma 120.00
_symmetry_space_group_name_H-M 'P -6 2 m'
_symmetry_Int_Tables_number 189
_symmetry_space_group_name_Hall 'P -6 -2'
loop_
_atom_site_label
_atom_site_type_symbol
_atom_site_fract_x
_atom_site_fract_y
_atom_site_fract_z
Ac1 Ac 0.3333 0.6667 0.0000
Ce1 Ce 0.0000 0.0000 0.5000
S1 S 0.0000 0.7425 0.0000
F1 F 0.0000 0.4218 0.5000
```